Record 1
This entry pairs a crystal structure of LaPd2Pb2 with its simulated PXRD pattern. Radiation: Cu Kα (λ = 1.5418 Å). Structure: the PBE geometry in Alexandria.
Intensities are scaled so that the largest is 100.

Most intense lines, 15° ≤ 2θ ≤ 90°, in order of rising 2θ:
| 2theta | d/Å | intensity |
| --- | --- | --- |
| 18.47 | 4.804 | 49 |
| 23.66 | 3.760 | 43 |
| 31.71 | 2.822 | 55 |
| 33.28 | 2.692 | 41 |
| 33.72 | 2.658 | 100 |
| 39.95 | 2.257 | 65 |
| 41.83 | 2.159 | 46 |
| 42.32 | 2.136 | 26 |

Atomic structure:
Cell: 6.0247 6.0247 9.0007 Å, 98.53 98.53 123.82°
Fractional coordinates of all 10 atoms:
La (0.1265, 0.8735, 0.7500)
La (0.8735, 0.1265, 0.2500)
Pd (0.1642, 0.8358, 0.2500)
Pd (0.4175, 0.5825, 0.7500)
Pd (0.5825, 0.4175, 0.2500)
Pd (0.8358, 0.1642, 0.7500)
Pb (0.2647, 0.5160, 0.0277)
Pb (0.4840, 0.7353, 0.4723)
Pb (0.5160, 0.2647, 0.5277)
Pb (0.7353, 0.4840, 0.9723)

***

Record 2
This entry pairs a crystal structure of La3Pd7Pb2 with its simulated PXRD pattern. Radiation: Cu Kα (λ = 1.5418 Å). Structure: the PBE geometry in Alexandria.
Intensities are scaled so that the largest is 100.

Most intense lines, 15° ≤ 2θ ≤ 90°, in order of rising 2θ:
| 2theta | d/Å | intensity |
| --- | --- | --- |
| 25.71 | 3.465 | 29 |
| 30.34 | 2.946 | 35 |
| 33.63 | 2.665 | 38 |
| 35.01 | 2.563 | 54 |
| 38.34 | 2.348 | 100 |
| 43.45 | 2.083 | 66 |
| 59.35 | 1.557 | 28 |
| 74.23 | 1.278 | 26 |

Atomic structure:
Cell: 15.8803 15.8803 15.8803 Å, 164.93 164.93 21.38°
Fractional coordinates of all 12 atoms:
La (0.0000, 0.0000, 0.0000)
La (0.1844, 0.1844, 0.0000)
La (0.8156, 0.8156, 0.0000)
Pd (0.0692, 0.5692, 0.5000)
Pd (0.2785, 0.2785, 0.0000)
Pd (0.4308, 0.9308, 0.5000)
Pd (0.5000, 0.5000, 0.0000)
Pd (0.5692, 0.0692, 0.5000)
Pd (0.7215, 0.7215, 0.0000)
Pd (0.9308, 0.4308, 0.5000)
Pb (0.3735, 0.3735, 0.0000)
Pb (0.6265, 0.6265, 0.0000)

***

Record 3
This entry pairs a crystal structure of LaPd9Pb2 with its simulated PXRD pattern. Radiation: Cu Kα (λ = 1.5418 Å). Structure: the PBE geometry in Alexandria.
Intensities are scaled so that the largest is 100.

Most intense lines, 15° ≤ 2θ ≤ 90°, in order of rising 2θ:
| 2theta | d/Å | intensity |
| --- | --- | --- |
| 37.52 | 2.397 | 100 |
| 43.46 | 2.082 | 33 |
| 43.90 | 2.063 | 16 |
| 63.14 | 1.472 | 11 |
| 63.48 | 1.465 | 21 |
| 75.83 | 1.255 | 25 |
| 76.45 | 1.246 | 12 |
| 80.07 | 1.198 | 11 |

Atomic structure:
Cell: 4.1648 4.1648 12.3751 Å, 90.00 90.00 90.00°
Fractional coordinates of all 12 atoms:
La (0.0000, 0.0000, 0.0000)
Pd (0.0000, 0.5000, 0.1736)
Pd (0.0000, 0.5000, 0.5000)
Pd (0.0000, 0.5000, 0.8264)
Pd (0.5000, 0.0000, 0.1736)
Pd (0.5000, 0.0000, 0.5000)
Pd (0.5000, 0.0000, 0.8264)
Pd (0.5000, 0.5000, 0.0000)
Pd (0.5000, 0.5000, 0.3377)
Pd (0.5000, 0.5000, 0.6623)
Pb (0.0000, 0.0000, 0.3365)
Pb (0.0000, 0.0000, 0.6635)